This entry pairs a crystal structure of NaMn4As3O12 with its computed powder diffractogram. Radiation: Cu Kα. Structure: the GGA+U geometry in Alexandria.
No peak broadening, texture or thermal motion is included.

Most intense lines, 2θ from 10° to 90°, sorted by position:
two_theta, Rel. int.
24.71, 323
26.99, 276
29.09, 317
31.20, 1000
31.89, 370
33.11, 405
33.61, 189
49.79, 171
56.39, 250
59.15, 171

a = 9.1172 Å, b = 9.1172 Å, c = 6.9137 Å
α = 107.02°, β = 107.02°, γ = 94.06°
Fractional coordinates of all 40 atoms:
Na 0.0035 0.9965 0.7500
Na 0.9965 0.0035 0.2500
Mn 0.0620 0.3714 0.6348
Mn 0.2675 0.7325 0.2500
Mn 0.3714 0.0620 0.1348
Mn 0.5000 0.5000 0.0000
Mn 0.5000 0.5000 0.5000
Mn 0.6286 0.9380 0.8652
Mn 0.7325 0.2675 0.7500
Mn 0.9380 0.6286 0.3652
As 0.1195 0.3412 0.1346
As 0.2942 0.7058 0.7500
As 0.3412 0.1195 0.6346
As 0.6588 0.8805 0.3654
As 0.7058 0.2942 0.2500
As 0.8805 0.6588 0.8654
O 0.0099 0.6710 0.1109
O 0.0338 0.4030 0.3270
O 0.1561 0.1574 0.6122
O 0.1574 0.1561 0.1122
O 0.1810 0.7369 0.5241
O 0.2631 0.8190 0.9759
O 0.2852 0.5202 0.7753
O 0.2904 0.4766 0.2095
O 0.3290 0.9901 0.3891
O 0.4030 0.0338 0.8270
O 0.4766 0.2904 0.7095
O 0.4798 0.7148 0.7247
O 0.5202 0.2852 0.2753
O 0.5234 0.7096 0.2905
O 0.5970 0.9662 0.1730
O 0.6710 0.0099 0.6109
O 0.7096 0.5234 0.7905
O 0.7148 0.4798 0.2247
O 0.7369 0.1810 0.0241
O 0.8190 0.2631 0.4759
O 0.8426 0.8439 0.8878
O 0.8439 0.8426 0.3878
O 0.9662 0.5970 0.6730
O 0.9901 0.3290 0.8891